Starting from DFT lattice parameters and positions (GGA-PBE), the XRD peak list of Sr2Li9Ca was calculated for Cu Kα.
Neutral-atom scattering factors, no anomalous dispersion.

Atomic structure:
Cell lengths 6.2352, 6.2352, 19.8624 Å; angles 90.00, 90.00, 120.00 degrees
Element x y z (fractional)
Sr  0.3333  0.6667  0.0434
Sr  0.3333  0.6667  0.4566
Sr  0.6667  0.3333  0.5434
Sr  0.6667  0.3333  0.9566
Li  0.0000  0.0000  0.0000
Li  0.0000  0.0000  0.2500
Li  0.0000  0.0000  0.5000
Li  0.0000  0.0000  0.7500
Li  0.1671  0.3341  0.6323
Li  0.1671  0.3341  0.8677
Li  0.1671  0.8329  0.6323
Li  0.1671  0.8329  0.8677
Li  0.3333  0.6667  0.7500
Li  0.3341  0.1671  0.1323
Li  0.3341  0.1671  0.3677
Li  0.6659  0.8329  0.6323
Li  0.6659  0.8329  0.8677
Li  0.6667  0.3333  0.2500
Li  0.8329  0.1671  0.1323
Li  0.8329  0.1671  0.3677
Li  0.8329  0.6659  0.1323
Li  0.8329  0.6659  0.3677
Ca  0.3333  0.6667  0.2500
Ca  0.6667  0.3333  0.7500

Principal peaks in the range 15° ≤ 2θ ≤ 90°, sorted by position:
two_theta	I/Imax
16.42	46
17.02	41
21.23	29
27.88	100
28.63	65
33.95	37
40.39	25
50.26	37



Starting from DFT lattice parameters and positions (GGA-PBE), the XRD peak list of Sr2Li4Ca5 was calculated for Cu Kα.
Neutral-atom scattering factors, no anomalous dispersion.

Atomic structure:
Cell lengths 6.8938, 7.7694, 8.5629 Å; angles 80.90, 77.24, 65.23 degrees
Element x y z (fractional)
Sr  0.1456  0.3365  0.3025
Sr  0.8544  0.6635  0.6975
Li  0.1134  0.8693  0.3069
Li  0.3230  0.9406  0.5579
Li  0.6770  0.0594  0.4421
Li  0.8866  0.1307  0.6931
Ca  0.2473  0.7220  0.9367
Ca  0.3460  0.1857  0.8402
Ca  0.5000  0.5000  0.5000
Ca  0.6540  0.8143  0.1598
Ca  0.7527  0.2780  0.0633

Principal peaks in the range 15° ≤ 2θ ≤ 90°, sorted by position:
two_theta	I/Imax
17.09	46
23.07	49
25.74	68
27.84	54
28.26	60
28.85	100
29.10	59
29.97	59



Starting from DFT lattice parameters and positions (GGA-PBE), the XRD peak list of Sr2LiCa7 was calculated for Cu Kα.
Neutral-atom scattering factors, no anomalous dispersion.

Atomic structure:
Cell lengths 8.7472, 8.7472, 8.7472 Å; angles 60.00, 60.00, 60.00 degrees
Element x y z (fractional)
Sr  0.2500  0.2500  0.2500
Sr  0.7500  0.7500  0.7500
Li  0.0000  0.0000  0.0000
Ca  0.2340  0.2340  0.7660
Ca  0.2340  0.7660  0.2340
Ca  0.2340  0.7660  0.7660
Ca  0.5000  0.5000  0.5000
Ca  0.7660  0.2340  0.2340
Ca  0.7660  0.2340  0.7660
Ca  0.7660  0.7660  0.2340

Principal peaks in the range 15° ≤ 2θ ≤ 90°, sorted by position:
two_theta	I/Imax
20.30	34
24.93	100
28.87	80
41.28	56
48.84	41
51.16	19
67.75	22
75.27	15



Starting from DFT lattice parameters and positions (GGA-PBE), the XRD peak list of Sr3Li4Ca4 was calculated for Cu Kα.
Neutral-atom scattering factors, no anomalous dispersion.

Atomic structure:
Cell lengths 8.4436, 8.4436, 8.4436 Å; angles 109.47, 109.47, 109.47 degrees
Element x y z (fractional)
Sr  0.0000  0.5000  0.5000
Sr  0.5000  0.0000  0.5000
Sr  0.5000  0.5000  0.0000
Li  0.0000  0.0000  0.3689
Li  0.0000  0.3689  0.0000
Li  0.3689  0.0000  0.0000
Li  0.6311  0.6311  0.6311
Ca  0.0000  0.0000  0.7241
Ca  0.0000  0.7241  0.0000
Ca  0.2759  0.2759  0.2759
Ca  0.7241  0.0000  0.0000

Principal peaks in the range 15° ≤ 2θ ≤ 90°, sorted by position:
two_theta	I/Imax
18.20	73
22.34	66
25.85	100
28.96	70
31.79	45
41.42	61
45.58	38
53.14	29



Starting from DFT lattice parameters and positions (GGA-PBE), the XRD peak list of SrLi8Ca3 was calculated for Cu Kα.
Neutral-atom scattering factors, no anomalous dispersion.

Atomic structure:
Cell lengths 10.7265, 10.7265, 10.7265 Å; angles 34.07, 34.07, 34.07 degrees
Element x y z (fractional)
Sr  0.0000  0.0000  0.0000
Li  0.0618  0.0618  0.5591
Li  0.0618  0.5591  0.0618
Li  0.0633  0.5646  0.5645
Li  0.3111  0.3111  0.3111
Li  0.5591  0.0618  0.0618
Li  0.5646  0.0633  0.5646
Li  0.5646  0.5646  0.0633
Li  0.8131  0.8131  0.8131
Ca  0.1273  0.1273  0.1273
Ca  0.4993  0.4993  0.4993
Ca  0.6226  0.6226  0.6226

Principal peaks in the range 15° ≤ 2θ ≤ 90°, sorted by position:
two_theta	I/Imax
17.31	100
17.57	32
28.40	75
28.73	73
33.45	32
33.59	64
33.87	30
50.49	28



Starting from DFT lattice parameters and positions (GGA-PBE), the XRD peak list of SrLi6Ca was calculated for Cu Kα.
Neutral-atom scattering factors, no anomalous dispersion.

Atomic structure:
Cell lengths 5.2841, 6.8951, 6.8951 Å; angles 63.03, 90.00, 90.00 degrees
Element x y z (fractional)
Sr  0.0000  0.0000  0.0000
Li  0.0000  0.0613  0.4750
Li  0.0000  0.4750  0.0613
Li  0.0000  0.4990  0.4990
Li  0.5000  0.2028  0.2028
Li  0.5000  0.2222  0.6202
Li  0.5000  0.6202  0.2222
Ca  0.5000  0.6913  0.6913

Principal peaks in the range 15° ≤ 2θ ≤ 90°, sorted by position:
two_theta	I/Imax
22.19	100
22.63	58
24.70	26
25.88	43
33.74	65
33.93	19
34.93	19
43.19	32